Calculated powder X-ray diffraction pattern
Compound: AcPmSm2Er5
Radiation: Cu Ka
Structure: the PBE geometry in Alexandria

Structure:
a = 8.820 Å, b = 8.820 Å, c = 15.508 Å
α = 90.00°, β = 90.00°, γ = 90.00°
Space group I4/mcm (No. 140)
Asymmetric unit:
Ac  0.000  0.000  0.250 [4 per cell]
Pm  0.000  0.500  0.250 [4 per cell]
Sm  0.116  0.384  0.000 [8 per cell]
Er  0.000  0.000  0.000 [4 per cell]
Er  0.206  0.294  0.369 [16 per cell]

Main lines, in order of rising 2θ (2θ = 10–90°):
2θ 28.46, rel. 41.5
2θ 28.63, rel. 48.8
2θ 30.71, rel. 100.0
2θ 32.09, rel. 18.0
2θ 36.87, rel. 14.8
2θ 37.21, rel. 15.4
2θ 42.65, rel. 21.0
2θ 46.87, rel. 13.4
2θ 52.01, rel. 23.3
2θ 55.84, rel. 14.7

***

Calculated powder X-ray diffraction pattern
Compound: AcPm2ErTl2
Radiation: Cu Ka
Structure: the PBE geometry in Alexandria

Structure:
a = 4.890 Å, b = 9.549 Å, c = 8.545 Å
α = 90.00°, β = 90.00°, γ = 90.00°
Space group Pmc2_1 (No. 26)
Asymmetric unit:
Ac  0.000  0.083  0.000 [2 per cell]
Pm  0.000  0.325  0.384 [2 per cell]
Pm  0.500  0.421  0.050 [2 per cell]
Er  0.500  0.190  0.665 [2 per cell]
Tl  0.000  0.373  0.757 [2 per cell]
Tl  0.500  0.124  0.291 [2 per cell]

Main lines, in order of rising 2θ (2θ = 10–90°):
2θ 28.13, rel. 76.1
2θ 29.29, rel. 100.0
2θ 29.96, rel. 20.1
2θ 32.81, rel. 25.8
2θ 33.60, rel. 37.8
2θ 35.23, rel. 33.0
2θ 36.75, rel. 74.1
2θ 37.72, rel. 27.3
2θ 52.95, rel. 21.5
2θ 57.96, rel. 21.6

***

Calculated powder X-ray diffraction pattern
Compound: AcPm2ErTm4
Radiation: Cu Ka
Structure: the PBE geometry in Alexandria

Structure:
a = 6.866 Å, b = 11.871 Å, c = 13.406 Å
α = 90.00°, β = 90.00°, γ = 90.00°
Space group Imma (No. 74)
Asymmetric unit:
Ac  0.000  0.000  0.000 [4 per cell]
Pm  0.000  0.000  0.500 [4 per cell]
Pm  0.250  0.250  0.250 [4 per cell]
Er  0.250  0.250  0.750 [4 per cell]
Tm  0.000  0.005  0.742 [8 per cell]
Tm  0.237  0.250  0.505 [8 per cell]

Main lines, in order of rising 2θ (2θ = 10–90°):
2θ 26.60, rel. 45.2
2θ 30.08, rel. 100.0
2θ 40.58, rel. 88.4
2θ 53.42, rel. 20.0
2θ 60.66, rel. 27.0
2θ 62.50, rel. 8.3
2θ 63.77, rel. 22.6
2θ 69.15, rel. 12.1
2θ 80.08, rel. 8.0
2θ 86.78, rel. 6.8

***

Calculated powder X-ray diffraction pattern
Compound: AcPr3Er3
Radiation: Cu Ka
Structure: the PBE geometry in Alexandria

Structure:
a = 9.8112 Å, b = 9.8112 Å, c = 5.8964 Å
α = 90.00°, β = 90.00°, γ = 120.00°
Space group P6_3/m (No. 176)
Asymmetric unit:
Ac  0.3333  0.6667  0.2500 [2 per cell]
Pr  0.0938  0.4679  0.7500 [6 per cell]
Er  0.0422  0.2270  0.2500 [6 per cell]

Main lines, in order of rising 2θ (2θ = 10–90°):
2θ 27.78, rel. 23.7
2θ 30.32, rel. 25.3
2θ 31.73, rel. 100.0
2θ 41.58, rel. 16.1
2θ 49.14, rel. 20.5
2θ 54.76, rel. 21.6
2θ 58.84, rel. 23.0
2θ 59.68, rel. 16.3
2θ 80.85, rel. 13.2
2θ 83.84, rel. 8.6

***

Calculated powder X-ray diffraction pattern
Compound: AcPr2Er9
Radiation: Cu Ka
Structure: the PBE geometry in Alexandria

Structure:
a = 5.065 Å, b = 5.065 Å, c = 15.203 Å
α = 90.00°, β = 90.00°, γ = 90.00°
Space group P4/mmm (No. 123)
Asymmetric unit:
Ac  0.000  0.000  0.000 [1 per cell]
Pr  0.000  0.000  0.335 [2 per cell]
Er  0.000  0.500  0.172 [4 per cell]
Er  0.000  0.500  0.500 [2 per cell]
Er  0.500  0.500  0.000 [1 per cell]
Er  0.500  0.500  0.336 [2 per cell]

Main lines, in order of rising 2θ (2θ = 10–90°):
2θ 18.46, rel. 0.5
2θ 27.53, rel. 0.5
2θ 30.57, rel. 100.0
2θ 35.44, rel. 50.7
2θ 50.99, rel. 36.1
2θ 60.63, rel. 42.9
2θ 63.63, rel. 12.4
2θ 74.99, rel. 5.7
2θ 83.11, rel. 17.6
2θ 85.78, rel. 16.5

***

Calculated powder X-ray diffraction pattern
Compound: Ac7Pr3Er2
Radiation: Cu Ka
Structure: the PBE geometry in Alexandria

Structure:
a = 6.959 Å, b = 3.775 Å, c = 18.593 Å
α = 90.00°, β = 96.19°, γ = 90.00°
Space group P2/m (No. 10)
Asymmetric unit:
Ac  0.000  0.000  0.000 [1 per cell]
Ac  0.226  0.500  0.176 [2 per cell]
Ac  0.253  0.500  0.494 [2 per cell]
Ac  0.274  0.000  0.828 [2 per cell]
Pr  0.461  0.000  0.341 [2 per cell]
Pr  0.500  0.500  0.000 [1 per cell]
Er  0.060  0.500  0.669 [2 per cell]

Main lines, in order of rising 2θ (2θ = 10–90°):
2θ 27.59, rel. 67.4
2θ 28.19, rel. 92.6
2θ 28.98, rel. 100.0
2θ 29.09, rel. 96.9
2θ 30.98, rel. 79.3
2θ 32.42, rel. 95.9
2θ 45.92, rel. 41.6
2θ 55.64, rel. 51.1
2θ 57.24, rel. 30.5
2θ 58.42, rel. 30.0

***

Calculated powder X-ray diffraction pattern
Compound: AcPr4Er4
Radiation: Cu Ka
Structure: the PBE geometry in Alexandria

Structure:
a = 10.983 Å, b = 10.983 Å, c = 5.160 Å
α = 90.00°, β = 90.00°, γ = 90.00°
Space group I4/mmm (No. 139)
Asymmetric unit:
Ac  0.000  0.000  0.000 [2 per cell]
Pr  0.171  0.171  0.500 [8 per cell]
Er  0.000  0.340  0.000 [8 per cell]

Main lines, in order of rising 2θ (2θ = 10–90°):
2θ 29.93, rel. 100.0
2θ 34.65, rel. 33.8
2θ 34.77, rel. 16.9
2θ 49.88, rel. 36.3
2θ 59.21, rel. 28.6
2θ 59.37, rel. 14.5
2θ 62.18, rel. 12.4
2θ 80.96, rel. 5.7
2θ 81.10, rel. 11.7
2θ 83.54, rel. 10.6

***

Calculated powder X-ray diffraction pattern
Compound: Ac3Pr2Er6
Radiation: Cu Ka
Structure: the PBE geometry in Alexandria

Structure:
a = 6.368 Å, b = 11.039 Å, c = 11.783 Å
α = 90.00°, β = 100.42°, γ = 90.00°
Space group C2/m (No. 12)
Asymmetric unit:
Ac  0.000  0.000  0.000 [2 per cell]
Ac  0.000  0.335  0.000 [4 per cell]
Pr  0.000  0.167  0.500 [4 per cell]
Er  0.247  0.334  0.743 [8 per cell]
Er  0.250  0.000  0.744 [4 per cell]

Main lines, in order of rising 2θ (2θ = 10–90°):
2θ 29.88, rel. 100.0
2θ 30.87, rel. 35.1
2θ 34.93, rel. 66.5
2θ 49.57, rel. 25.0
2θ 50.87, rel. 22.6
2θ 58.96, rel. 14.9
2θ 59.54, rel. 29.4
2θ 60.70, rel. 13.3
2θ 62.07, rel. 12.8
2θ 80.55, rel. 12.3

***

Calculated powder X-ray diffraction pattern
Compound: AcPr5Er2
Radiation: Cu Ka
Structure: the PBE geometry in Alexandria

Structure:
a = 7.390 Å, b = 14.783 Å, c = 5.210 Å
α = 90.00°, β = 90.00°, γ = 90.00°
Space group Pbam (No. 55)
Asymmetric unit:
Ac  0.000  0.000  0.000 [2 per cell]
Pr  0.000  0.500  0.000 [2 per cell]
Pr  0.002  0.252  0.000 [4 per cell]
Pr  0.246  0.627  0.500 [4 per cell]
Er  0.249  0.373  0.500 [4 per cell]

Main lines, in order of rising 2θ (2θ = 10–90°):
2θ 29.64, rel. 100.0
2θ 34.32, rel. 34.0
2θ 34.43, rel. 16.9
2θ 49.38, rel. 36.7
2θ 58.60, rel. 29.3
2θ 58.75, rel. 14.6
2θ 61.53, rel. 12.6
2θ 80.05, rel. 5.9
2θ 80.18, rel. 11.9
2θ 82.59, rel. 11.0

***

Calculated powder X-ray diffraction pattern
Compound: AcPr3Er7
Radiation: Cu Ka
Structure: the PBE geometry in Alexandria

Structure:
a = 7.1122 Å, b = 7.1122 Å, c = 8.8124 Å
α = 90.00°, β = 90.00°, γ = 120.00°
Space group P3m1 (No. 156)
Asymmetric unit:
Ac  0.0000  0.0000  0.0000 [1 per cell]
Pr  0.3356  0.1678  0.6557 [3 per cell]
Er  0.1676  0.3353  0.3251 [3 per cell]
Er  0.5009  0.0018  0.0008 [3 per cell]
Er  0.6667  0.3333  0.3195 [1 per cell]

Main lines, in order of rising 2θ (2θ = 10–90°):
2θ 30.43, rel. 33.4
2θ 30.75, rel. 100.0
2θ 35.57, rel. 69.1
2θ 50.97, rel. 24.0
2θ 51.39, rel. 23.7
2θ 60.53, rel. 15.0
2θ 60.90, rel. 28.2
2θ 61.09, rel. 14.3
2θ 64.06, rel. 12.6
2θ 83.83, rel. 11.9

***

Calculated powder X-ray diffraction pattern
Compound: Ac3Pr12Er
Radiation: Cu Ka
Structure: the PBE geometry in Alexandria

Structure:
a = 5.309 Å, b = 5.309 Å, c = 21.171 Å
α = 90.00°, β = 90.00°, γ = 90.00°
Space group P4/mmm (No. 123)
Asymmetric unit:
Ac  0.000  0.000  0.000 [1 per cell]
Ac  0.000  0.000  0.253 [2 per cell]
Pr  0.000  0.500  0.126 [4 per cell]
Pr  0.000  0.500  0.381 [4 per cell]
Pr  0.500  0.500  0.000 [1 per cell]
Pr  0.500  0.500  0.254 [2 per cell]
Pr  0.500  0.500  0.500 [1 per cell]
Er  0.000  0.000  0.500 [1 per cell]

Main lines, in order of rising 2θ (2θ = 10–90°):
2θ 29.17, rel. 100.0
2θ 33.77, rel. 34.3
2θ 33.87, rel. 16.5
2θ 48.55, rel. 36.6
2θ 57.60, rel. 29.7
2θ 57.74, rel. 14.2
2θ 60.47, rel. 12.6
2θ 78.56, rel. 6.0
2θ 78.68, rel. 11.5
2θ 81.03, rel. 11.1

***

Calculated powder X-ray diffraction pattern
Compound: Ac3Pr4Er
Radiation: Cu Ka
Structure: the PBE geometry in Alexandria

Structure:
a = 5.378 Å, b = 10.709 Å, c = 10.708 Å
α = 90.00°, β = 90.00°, γ = 90.00°
Space group Pmmn (No. 59, origin choice 2)
Asymmetric unit:
Ac  0.250  0.004  0.130 [4 per cell]
Ac  0.250  0.250  0.870 [2 per cell]
Pr  0.250  0.250  0.378 [2 per cell]
Pr  0.250  0.505  0.620 [4 per cell]
Pr  0.250  0.750  0.383 [2 per cell]
Er  0.250  0.750  0.866 [2 per cell]

Main lines, in order of rising 2θ (2θ = 10–90°):
2θ 28.84, rel. 100.0
2θ 33.32, rel. 17.3
2θ 33.47, rel. 33.7
2θ 47.95, rel. 24.9
2θ 48.06, rel. 12.2
2θ 56.83, rel. 15.2
2θ 57.02, rel. 29.3
2θ 59.74, rel. 12.8
2θ 77.56, rel. 12.0
2θ 80.13, rel. 10.8

***

Calculated powder X-ray diffraction pattern
Compound: Ac5Pr2Er2
Radiation: Cu Ka
Structure: the PBE geometry in Alexandria

Structure:
a = 6.575 Å, b = 6.635 Å, c = 8.590 Å
α = 75.01°, β = 82.47°, γ = 80.35°
Space group P-1 (No. 2)
Asymmetric unit:
Ac  0.000  0.000  0.000 [1 per cell]
Ac  0.120  0.553  0.774 [2 per cell]
Ac  0.226  0.118  0.551 [2 per cell]
Pr  0.444  0.222  0.108 [2 per cell]
Er  0.337  0.667  0.329 [2 per cell]

Main lines, in order of rising 2θ (2θ = 10–90°):
2θ 28.53, rel. 100.0
2θ 28.60, rel. 49.5
2θ 28.76, rel. 49.0
2θ 33.00, rel. 34.4
2θ 33.15, rel. 34.0
2θ 33.29, rel. 33.4
2θ 47.45, rel. 37.8
2θ 56.32, rel. 23.0
2θ 56.44, rel. 15.1
2θ 56.57, rel. 15.0